1.
For ErHf4N6, a crystal structure in Alexandria, relaxed with GGA-PBE gives the computed X-ray powder pattern in this record (Cu Ka).
Intensities are scaled so that the largest is 100.

Most intense lines, 10 to 90 degrees two-theta, by angle:
| two_theta | I (rel.) | index |
| --- | --- | --- |
| 31.47 | 34 | 1 1 2 |
| 32.25 | 100 | 0 2 5 |
| 33.82 | 83 | 0 4 0 |
| 38.56 | 14 | 1 3 1 |
| 39.78 | 34 | 1 3 2 |
| 41.75 | 28 | 1 3 3 |
| 54.27 | 19 | 1 1 8 |
| 54.74 | 14 | 1 5 3 |
| 59.47 | 15 | 0 6 5 |
| 68.19 | 24 | 2 2 5 |

Atomic structure:
```
data_ErHf4N6
_symmetry_space_group_name_H-M 'C m c m'
_symmetry_Int_Tables_number 63
_symmetry_space_group_name_Hall '-C 2c 2'
_cell_length_a 3.166
_cell_length_b 10.612
_cell_length_c 16.282
_cell_angle_alpha 90.00
_cell_angle_beta 90.00
_cell_angle_gamma 90.00
loop_
_atom_site_label
_atom_site_type_symbol
_atom_site_fract_x
_atom_site_fract_y
_atom_site_fract_z
Er1 Er 0.000 0.147 0.250
Hf1 Hf 0.000 0.107 0.638
Hf2 Hf 0.000 0.369 0.548
N1 N 0.000 0.000 0.000
N2 N 0.000 0.194 0.750
N3 N 0.000 0.271 0.082
N4 N 0.000 0.466 0.660
```

=====

2.
For ErHfNi, a crystal structure in Alexandria, relaxed with GGA-PBE gives the computed X-ray powder pattern in this record (Cu Ka).
Intensities are scaled so that the largest is 100.

Most intense lines, 10 to 90 degrees two-theta, by angle:
| two_theta | I (rel.) | index |
| --- | --- | --- |
| 10.45 | 12 | 0 0 3 |
| 27.64 | 100 | 1 0 4 |
| 37.12 | 82 | 0 1 8 |
| 41.74 | 72 | 1 1 0 |
| 50.79 | 19 | 0 2 4 |
| 57.07 | 24 | 2 0 8 |
| 61.27 | 23 | 1 1 12 |
| 67.77 | 17 | 2 1 4 |
| 73.15 | 22 | 1 2 8 |
| 76.19 | 12 | 3 0 0 |

Atomic structure:
```
data_ErHfNi
_symmetry_space_group_name_H-M 'R -3 m'
_symmetry_Int_Tables_number 166
_symmetry_space_group_name_Hall '-R 3 2"'
_cell_length_a 4.3284
_cell_length_b 4.3284
_cell_length_c 25.3914
_cell_angle_alpha 90.00
_cell_angle_beta 90.00
_cell_angle_gamma 120.00
loop_
_atom_site_label
_atom_site_type_symbol
_atom_site_fract_x
_atom_site_fract_y
_atom_site_fract_z
Er1 Er 0.0000 0.0000 0.1188
Hf1 Hf 0.0000 0.0000 0.3691
Ni1 Ni 0.0000 0.0000 0.2668
```

=====

3.
For ErHfSbO6, a crystal structure in Alexandria, relaxed with GGA-PBE gives the computed X-ray powder pattern in this record (Cu Ka).
Intensities are scaled so that the largest is 100.

Most intense lines, 10 to 90 degrees two-theta, by angle:
| two_theta | I (rel.) | index |
| --- | --- | --- |
| 26.66 | 100 | 1 0 2 |
| 33.41 | 48 | 1 1 0 |
| 43.24 | 27 | 2 0 2 |
| 50.96 | 43 | 1 1 4 |
| 55.72 | 26 | 2 1 2 |
| 59.72 | 15 | 3 0 0 |
| 61.06 | 10 | 1 0 6 |
| 72.58 | 9 | 3 0 4 |
| 76.54 | 10 | 4 -1 2 |
| 82.29 | 10 | 4 -2 4 |

Atomic structure:
```
data_ErHfSbO6
_symmetry_space_group_name_H-M 'P -3 1 c'
_symmetry_Int_Tables_number 163
_symmetry_space_group_name_Hall '-P 3 2c'
_cell_length_a 5.3642
_cell_length_b 5.3642
_cell_length_c 9.6344
_cell_angle_alpha 90.00
_cell_angle_beta 90.00
_cell_angle_gamma 120.00
loop_
_atom_site_label
_atom_site_type_symbol
_atom_site_fract_x
_atom_site_fract_y
_atom_site_fract_z
Er1 Er 0.0000 0.0000 0.0000
Hf1 Hf 0.3333 0.6667 0.2500
Sb1 Sb 0.3333 0.6667 0.7500
O1 O 0.0114 0.3589 0.6359
```

=====

4.
For ErHfOs4, a crystal structure in Alexandria, relaxed with GGA-PBE gives the computed X-ray powder pattern in this record (Cu Ka).
Intensities are scaled so that the largest is 100.

Most intense lines, 10 to 90 degrees two-theta, by angle:
| two_theta | I (rel.) | index |
| --- | --- | --- |
| 20.61 | 8 | 1 1 1 |
| 33.97 | 24 | 2 2 0 |
| 40.07 | 100 | 3 1 1 |
| 41.93 | 43 | 2 2 2 |
| 48.81 | 6 | 4 0 0 |
| 60.80 | 9 | 4 2 2 |
| 64.92 | 33 | 5 1 1 |
| 71.50 | 29 | 4 4 0 |
| 85.27 | 12 | 5 3 3 |
| 86.49 | 17 | 6 2 2 |

Atomic structure:
```
data_ErHfOs4
_symmetry_space_group_name_H-M 'F -4 3 m'
_symmetry_Int_Tables_number 216
_symmetry_space_group_name_Hall 'F -4 2 3'
_cell_length_a 7.464
_cell_length_b 7.464
_cell_length_c 7.464
_cell_angle_alpha 90.00
_cell_angle_beta 90.00
_cell_angle_gamma 90.00
loop_
_atom_site_label
_atom_site_type_symbol
_atom_site_fract_x
_atom_site_fract_y
_atom_site_fract_z
Er1 Er 0.000 0.000 0.000
Hf1 Hf 0.250 0.250 0.750
Os1 Os 0.125 0.125 0.375
```

=====

5.
For ErHfP2Rh5, a crystal structure in Alexandria, relaxed with GGA-PBE gives the computed X-ray powder pattern in this record (Cu Ka).
Intensities are scaled so that the largest is 100.

Most intense lines, 10 to 90 degrees two-theta, by angle:
| two_theta | I (rel.) | index |
| --- | --- | --- |
| 25.88 | 32 | 0 0 3 |
| 28.16 | 38 | 1 0 2 |
| 32.73 | 26 | 1 1 1 |
| 36.12 | 100 | 1 1 2 |
| 41.23 | 20 | 1 1 3 |
| 45.19 | 53 | 2 0 0 |
| 47.62 | 36 | 1 1 4 |
| 52.81 | 17 | 2 0 3 |
| 72.33 | 19 | 2 0 6 |
| 77.46 | 22 | 3 1 2 |

Atomic structure:
```
data_ErHfP2Rh5
_symmetry_space_group_name_H-M 'P 4/m m m'
_symmetry_Int_Tables_number 123
_symmetry_space_group_name_Hall '-P 4 2'
_cell_length_a 4.013
_cell_length_b 4.013
_cell_length_c 10.327
_cell_angle_alpha 90.00
_cell_angle_beta 90.00
_cell_angle_gamma 90.00
loop_
_atom_site_label
_atom_site_type_symbol
_atom_site_fract_x
_atom_site_fract_y
_atom_site_fract_z
Er1 Er 0.000 0.000 0.000
Hf1 Hf 0.000 0.000 0.500
P1 P 0.500 0.500 0.219
Rh1 Rh 0.000 0.500 0.321
Rh2 Rh 0.500 0.500 0.000
```

=====

6.
For TbEr2HfP4, a crystal structure in Alexandria, relaxed with GGA-PBE gives the computed X-ray powder pattern in this record (Cu Ka).
Intensities are scaled so that the largest is 100.

Most intense lines, 10 to 90 degrees two-theta, by angle:
| two_theta | I (rel.) | index |
| --- | --- | --- |
| 27.99 | 91 | 0 0 2 |
| 32.43 | 100 | 1 1 1 |
| 46.38 | 12 | 2 0 2 |
| 46.54 | 60 | 0 2 0 |
| 55.07 | 15 | 1 1 3 |
| 55.21 | 29 | 2 0 -4 |
| 57.76 | 13 | 4 0 0 |
| 57.93 | 13 | 2 2 -2 |
| 77.35 | 16 | 1 3 1 |
| 86.42 | 13 | 3 3 -1 |

Atomic structure:
```
data_TbEr2HfP4
_symmetry_space_group_name_H-M 'P 1 2/m 1'
_symmetry_Int_Tables_number 10
_cell_length_a 6.760
_cell_length_b 3.900
_cell_length_c 6.766
_cell_angle_alpha 90.00
_cell_angle_beta 109.25
_cell_angle_gamma 90.00
loop_
_symmetry_equiv_pos_as_xyz
'x,y,z'
'-x,-y,-z'
'-x,y,-z'
'x,-y,z'
loop_
_atom_site_label
_atom_site_type_symbol
_atom_site_fract_x
_atom_site_fract_y
_atom_site_fract_z
Tb1 Tb 0.000 0.000 0.000
Er1 Er 0.500 0.000 0.500
Er2 Er 0.500 0.500 0.000
Hf1 Hf 0.000 0.500 0.500
P1 P 0.239 0.000 0.737
P2 P 0.246 0.500 0.259
```

=====

Copy entry 1 word for word.
For ErHf4N6, a crystal structure in Alexandria, relaxed with GGA-PBE gives the computed X-ray powder pattern in this record (Cu Ka).
Intensities are scaled so that the largest is 100.

Most intense lines, 10 to 90 degrees two-theta, by angle:
| two_theta | I (rel.) | index |
| --- | --- | --- |
| 31.47 | 34 | 1 1 2 |
| 32.25 | 100 | 0 2 5 |
| 33.82 | 83 | 0 4 0 |
| 38.56 | 14 | 1 3 1 |
| 39.78 | 34 | 1 3 2 |
| 41.75 | 28 | 1 3 3 |
| 54.27 | 19 | 1 1 8 |
| 54.74 | 14 | 1 5 3 |
| 59.47 | 15 | 0 6 5 |
| 68.19 | 24 | 2 2 5 |

Atomic structure:
```
data_ErHf4N6
_symmetry_space_group_name_H-M 'C m c m'
_symmetry_Int_Tables_number 63
_symmetry_space_group_name_Hall '-C 2c 2'
_cell_length_a 3.166
_cell_length_b 10.612
_cell_length_c 16.282
_cell_angle_alpha 90.00
_cell_angle_beta 90.00
_cell_angle_gamma 90.00
loop_
_atom_site_label
_atom_site_type_symbol
_atom_site_fract_x
_atom_site_fract_y
_atom_site_fract_z
Er1 Er 0.000 0.147 0.250
Hf1 Hf 0.000 0.107 0.638
Hf2 Hf 0.000 0.369 0.548
N1 N 0.000 0.000 0.000
N2 N 0.000 0.194 0.750
N3 N 0.000 0.271 0.082
N4 N 0.000 0.466 0.660
```